Structure and computed X-ray powder pattern of Pm2In12Pd7 (a DFT-relaxed cell (GGA-PBE, Alexandria); Cu Kα (λ = 1.5418 Å)).

```
data_Pm2In12Pd7
_chemical_formula_sum 'Pm2 In12 Pd7'
_space_group_name_H-M_alt 'P -6'
_space_group_IT_number 174
_space_group_name_Hall 'P -6'
_cell_length_a 11.3514
_cell_length_b 11.3514
_cell_length_c 4.0776
_cell_angle_alpha 90.00
_cell_angle_beta 90.00
_cell_angle_gamma 120.00
loop_
_atom_site_label
_atom_site_fract_x
_atom_site_fract_y
_atom_site_fract_z
Pm1 0.0000 0.0000 0.0000
Pm2 0.3333 0.6667 0.5000
In1 0.0474 0.7706 0.5000
In2 0.1167 0.3967 0.0000
In3 0.3875 0.2121 0.0000
In4 0.5318 0.1088 0.5000
Pd1 0.0713 0.6100 0.0000
Pd2 0.2432 0.0358 0.5000
Pd3 0.6667 0.3333 0.0000
```

Main lines, by intensity (10 to 90 degrees two-theta):
- 2θ 32.60, intensity 100, (1 2 1)
- 2θ 42.12, intensity 36, (4 1 0)
- 2θ 39.77, intensity 26, (3 1 1)
- 2θ 62.89, intensity 21, (4 1 2)
- 2θ 44.44, intensity 21, (0 0 2)
- 2θ 35.13, intensity 12, (3 0 1)
- 2θ 74.30, intensity 9, (1 2 3)
- 2θ 45.99, intensity 9, (2 3 1)
- 2θ 70.98, intensity 8, (3 5 1)
- 2θ 38.66, intensity 8, (2 2 1)